No. 1
Diffraction record for Tb8Nd6Cd. The X-ray powder pattern is calculated, not measured: it uses a cell relaxed with GGA-PBE and Cu Ka.
Intensities are scaled so that the largest is 100.

Atomic structure:
```
Tb8Nd6Cd
1.0
9.5261 0.0000 0.0000
-4.7630 8.2498 0.0000
0.0000 0.0000 6.3629
Tb Nd Cd
8 6 1
Direct
0.0408 0.7790 0.1912
0.2210 0.2618 0.1912
0.2618 0.0408 0.8088
0.3333 0.6667 0.1769
0.6667 0.3333 0.8231
0.7382 0.9592 0.1912
0.7790 0.7382 0.8088
0.9592 0.2210 0.8088
0.0909 0.6380 0.6873
0.3620 0.4529 0.6873
0.4529 0.0909 0.3127
0.5471 0.9091 0.6873
0.6380 0.5471 0.3127
0.9091 0.3620 0.3127
0.0000 0.0000 0.5000
```

Largest 10 diffraction maxima, in order of rising 2θ, 2θ = 10–80°:
25.7 deg, intensity 11.4
28.0 deg, intensity 15.6
28.6 deg, intensity 21.1
30.1 deg, intensity 9.7
32.0 deg, intensity 100.0
33.9 deg, intensity 17.0
40.5 deg, intensity 14.1
50.7 deg, intensity 18.6
58.9 deg, intensity 9.9
61.2 deg, intensity 13.0



No. 2
Diffraction record for AlCu7Sn2Au2. The X-ray powder pattern is calculated, not measured: it uses a cell relaxed with GGA-PBE and Cu Ka.
Intensities are scaled so that the largest is 100.

Atomic structure:
```
AlCu7Sn2Au2
1.0
2.5660 -2.5688 0.0000
2.5660 2.5688 0.0000
-2.5622 0.0000 14.4460
Al Cu Sn Au
1 7 2 2
Direct
0.0000 0.0000 0.0000
0.0643 0.5641 0.1283
0.2726 0.2726 0.5406
0.4359 0.9357 0.8717
0.5000 0.5000 0.0000
0.5641 0.0643 0.1283
0.7274 0.7274 0.4594
0.9357 0.4359 0.8717
0.1793 0.1793 0.3599
0.8207 0.8207 0.6401
0.3670 0.3670 0.7338
0.6330 0.6330 0.2662
```

Largest 10 diffraction maxima, in order of rising 2θ, 2θ = 10–80°:
12.3 deg, intensity 44.8
29.0 deg, intensity 38.8
34.9 deg, intensity 58.4
35.5 deg, intensity 56.7
37.4 deg, intensity 61.7
39.8 deg, intensity 66.1
42.5 deg, intensity 100.0
43.2 deg, intensity 60.8
50.3 deg, intensity 76.7
67.9 deg, intensity 50.6



No. 3
Diffraction record for SrLiGaN2. The X-ray powder pattern is calculated, not measured: it uses a cell relaxed with GGA-PBE and Cu Ka.
Intensities are scaled so that the largest is 100.

Atomic structure:
```
SrLiGaN2
1.0
3.0622 -5.1362 0.0000
3.0622 5.1362 0.0000
-0.2933 0.0000 12.7350
Sr Li Ga N
6 6 6 12
Direct
0.0530 0.0530 0.2559
0.1664 0.8336 0.0000
0.1780 0.8220 0.5000
0.8220 0.1780 0.5000
0.8336 0.1664 0.0000
0.9470 0.9470 0.7441
0.1874 0.5523 0.3190
0.4041 0.4041 0.0807
0.4477 0.8126 0.6810
0.5523 0.1874 0.3190
0.5959 0.5959 0.9193
0.8126 0.4477 0.6810
0.1863 0.5112 0.8123
0.3917 0.3917 0.5886
0.4888 0.8137 0.1877
0.5112 0.1863 0.8123
0.6083 0.6083 0.4114
0.8137 0.4888 0.1877
0.1371 0.4546 0.6567
0.1473 0.5028 0.1493
0.2513 0.2513 0.8915
0.2806 0.2806 0.4328
0.4546 0.1371 0.6567
0.4972 0.8527 0.8507
0.5028 0.1473 0.1493
0.5454 0.8629 0.3433
0.7194 0.7194 0.5672
0.7487 0.7487 0.1085
0.8527 0.4972 0.8507
0.8629 0.5454 0.3433
```

Largest 10 diffraction maxima, in order of rising 2θ, 2θ = 10–80°:
18.4 deg, intensity 19.8
30.2 deg, intensity 19.4
30.7 deg, intensity 23.8
32.6 deg, intensity 48.4
33.0 deg, intensity 51.9
33.3 deg, intensity 100.0
36.7 deg, intensity 37.3
41.4 deg, intensity 31.4
46.3 deg, intensity 27.6
53.5 deg, intensity 29.9



No. 4
Diffraction record for PtPb2O5. The X-ray powder pattern is calculated, not measured: it uses a cell relaxed with GGA-PBE and Cu Ka.
Intensities are scaled so that the largest is 100.

Atomic structure:
```
PtPb2O5
1.0
4.3467 0.0000 0.0000
2.1569 5.3386 0.0000
1.9108 1.5636 5.5251
Pt Pb O
1 2 5
Direct
0.0000 0.0000 0.0000
0.2169 0.3338 0.2586
0.7874 0.6659 0.7226
0.0043 0.7330 0.3199
0.0060 0.2630 0.6689
0.2086 0.6918 0.8657
0.4759 0.0183 0.0363
0.7862 0.3062 0.1385
```

Largest 10 diffraction maxima, in order of rising 2θ, 2θ = 10–80°:
22.6 deg, intensity 44.3
23.1 deg, intensity 62.8
26.7 deg, intensity 100.0
30.5 deg, intensity 61.0
31.9 deg, intensity 45.1
32.4 deg, intensity 44.2
32.5 deg, intensity 36.0
34.3 deg, intensity 57.4
35.6 deg, intensity 31.0
41.6 deg, intensity 43.3



No. 5
Diffraction record for RbTiIn2Cu. The X-ray powder pattern is calculated, not measured: it uses a cell relaxed with GGA-PBE and Cu Ka.
Intensities are scaled so that the largest is 100.

Atomic structure:
```
RbTiIn2Cu
1.0
6.2320 0.0000 0.0000
0.0000 6.2320 0.0000
0.0000 0.0000 5.5951
Rb Ti In Cu
1 1 2 1
Direct
0.0000 0.0000 0.0000
0.0000 0.0000 0.5000
0.0000 0.5000 0.0000
0.5000 0.0000 0.0000
0.5000 0.5000 0.5000
```

Largest 10 diffraction maxima, in order of rising 2θ, 2θ = 10–80°:
15.8 deg, intensity 43.6
21.3 deg, intensity 24.9
25.7 deg, intensity 95.9
28.6 deg, intensity 100.0
32.0 deg, intensity 37.3
32.9 deg, intensity 29.9
41.0 deg, intensity 37.3
43.5 deg, intensity 63.1
49.0 deg, intensity 31.5
52.9 deg, intensity 35.0



No. 6
Diffraction record for CrFe. The X-ray powder pattern is calculated, not measured: it uses a cell relaxed with GGA-PBE and Cu Ka.
Intensities are scaled so that the largest is 100.

Atomic structure:
```
CrFe
1.0
5.6567 0.0000 0.0000
0.0000 5.6567 0.0000
0.0000 0.0000 5.6567
Cr Fe
8 8
Direct
0.1250 0.1250 0.1250
0.1250 0.6250 0.6250
0.3750 0.3750 0.8750
0.3750 0.8750 0.3750
0.6250 0.1250 0.6250
0.6250 0.6250 0.1250
0.8750 0.3750 0.3750
0.8750 0.8750 0.8750
0.1250 0.1250 0.6250
0.1250 0.6250 0.1250
0.3750 0.3750 0.3750
0.3750 0.8750 0.8750
0.6250 0.1250 0.1250
0.6250 0.6250 0.6250
0.8750 0.3750 0.8750
0.8750 0.8750 0.3750
```

Largest 2 diffraction maxima, in order of rising 2θ, 2θ = 10–80°:
45.3 deg, intensity 100.0
66.1 deg, intensity 14.4



No. 7
Diffraction record for Tl8CdIn4. The X-ray powder pattern is calculated, not measured: it uses a cell relaxed with GGA-PBE and Cu Ka.
Intensities are scaled so that the largest is 100.

Atomic structure:
```
Tl8CdIn4
1.0
5.3590 3.0940 4.1564
-5.3590 3.0940 4.1564
0.0000 -6.1881 4.1564
Tl Cd In
8 1 4
Direct
0.2398 0.2398 0.7448
0.2398 0.7448 0.2398
0.2488 0.2488 0.2488
0.2552 0.7602 0.7602
0.7448 0.2398 0.2398
0.7512 0.7512 0.7512
0.7602 0.2552 0.7602
0.7602 0.7602 0.2552
0.5000 0.5000 0.5000
0.0000 0.0000 0.0000
0.0000 0.5000 0.5000
0.5000 0.0000 0.5000
0.5000 0.5000 0.0000
```

Largest 10 diffraction maxima, in order of rising 2θ, 2θ = 10–80°:
23.9 deg, intensity 48.8
33.4 deg, intensity 100.0
34.7 deg, intensity 88.7
41.5 deg, intensity 11.9
48.9 deg, intensity 33.7
54.3 deg, intensity 11.3
59.8 deg, intensity 18.9
60.6 deg, intensity 35.5
62.9 deg, intensity 14.7
70.3 deg, intensity 11.7



Repeat the fourth record exactly.
Diffraction record for PtPb2O5. The X-ray powder pattern is calculated, not measured: it uses a cell relaxed with GGA-PBE and Cu Ka.
Intensities are scaled so that the largest is 100.

Atomic structure:
```
PtPb2O5
1.0
4.3467 0.0000 0.0000
2.1569 5.3386 0.0000
1.9108 1.5636 5.5251
Pt Pb O
1 2 5
Direct
0.0000 0.0000 0.0000
0.2169 0.3338 0.2586
0.7874 0.6659 0.7226
0.0043 0.7330 0.3199
0.0060 0.2630 0.6689
0.2086 0.6918 0.8657
0.4759 0.0183 0.0363
0.7862 0.3062 0.1385
```

Largest 10 diffraction maxima, in order of rising 2θ, 2θ = 10–80°:
22.6 deg, intensity 44.3
23.1 deg, intensity 62.8
26.7 deg, intensity 100.0
30.5 deg, intensity 61.0
31.9 deg, intensity 45.1
32.4 deg, intensity 44.2
32.5 deg, intensity 36.0
34.3 deg, intensity 57.4
35.6 deg, intensity 31.0
41.6 deg, intensity 43.3